Ho4AgSb: theoretical powder X-ray diffraction pattern (λ = 1.5418 Å (Cu Kα)), based on a crystal structure in Alexandria, relaxed with PBE.

Structure:
a b c (Å): 7.796 7.159 6.797
angles (deg): 90.00 93.70 90.00
Atoms (fractional coordinates):
Ho: 0.145 0.150 0.390
Ho: 0.145 0.350 0.890
Ho: 0.281 0.681 0.302
Ho: 0.281 0.819 0.802
Ho: 0.719 0.181 0.198
Ho: 0.719 0.319 0.698
Ho: 0.855 0.650 0.110
Ho: 0.855 0.850 0.610
Ag: 0.000 0.000 0.000
Ag: 0.000 0.500 0.500
Sb: 0.500 0.000 0.500
Sb: 0.500 0.500 0.000

Main lines, in order of rising 2θ (2θ from 15° to 90°):
| index | 2θ (°) | intensity |
| --- | --- | --- |
| 2 1 0 | 26.1 | 82 |
| 0 2 1 | 28.2 | 92 |
| 1 0 2 | 29.4 | 62 |
| 1 2 -1 | 30.2 | 49 |
| 1 1 -2 | 30.7 | 100 |
| 2 2 0 | 34.0 | 63 |
| 2 0 2 | 36.2 | 63 |
| 2 2 1 | 37.2 | 52 |
| 3 1 -1 | 38.5 | 70 |
| 1 3 -1 | 41.5 | 50 |